Entry 1:
The following is a computed X-ray powder pattern of Li2CuPO4. It was derived from a DFT-relaxed cell (GGA-PBE, the Materials Project), using copper Kα.

Peak list (6 most intense, 2θ = 10–90°, by intensity)
25.47°, I = 100, (0 1 2)
36.19°, I = 50, (1 1 0)
36.46°, I = 19, (1 0 4)
42.85°, I = 18, (1 1 3)
43.08°, I = 13, (0 1 5)
44.77°, I = 12, (2 0 2)

Structure:
Unit cell a=4.965 b=4.965 c=12.030 alpha=90.00 beta=90.00 gamma=120.00
Atoms (fractional coordinates):
Li1 0.087 0.425 0.417
Li2 0.338 0.913 0.084
Li3 0.425 0.087 0.583
Li4 0.575 0.662 0.751
Li5 0.662 0.575 0.249
Li6 0.913 0.338 0.916
Cu1 0.000 0.321 0.667
Cu2 0.321 0.000 0.333
Cu3 0.679 0.679 0.000
P1 0.000 0.232 0.167
P2 0.232 0.000 0.833
P3 0.768 0.768 0.500
O1 0.086 0.451 0.065
O2 0.099 0.814 0.473
O3 0.186 0.285 0.806
O4 0.285 0.186 0.194
O5 0.365 0.914 0.732
O6 0.451 0.086 0.935
O7 0.549 0.635 0.399
O8 0.635 0.549 0.601
O9 0.715 0.901 0.139
O10 0.814 0.099 0.527
O11 0.901 0.715 0.861
O12 0.914 0.365 0.268

***

Entry 2:
The following is a computed X-ray powder pattern of Li3Cu2P5O16. It was derived from a DFT-relaxed cell (GGA-PBE, the Materials Project), using copper Kα.

Peak list (6 most intense, 2θ = 10–90°, by intensity)
13.59°, I = 100, (0 1 1)
22.21°, I = 83, (1 1 1)
20.28°, I = 63, (0 0 4)
10.10°, I = 48, (0 0 2)
31.30°, I = 44, (1 2 -1)
32.72°, I = 42, (1 2 2)

Structure:
Unit cell a=5.103 b=7.018 c=17.522 alpha=90.00 beta=91.11 gamma=90.00
Atoms (fractional coordinates):
Li1 0.000 0.024 0.250
Li2 0.000 0.976 0.750
Li3 0.232 0.328 0.963
Li4 0.232 0.672 0.463
Li5 0.768 0.328 0.537
Li6 0.768 0.672 0.037
Cu1 0.243 0.170 0.412
Cu2 0.243 0.830 0.912
Cu3 0.757 0.170 0.088
Cu4 0.757 0.830 0.588
P1 0.224 0.467 0.124
P2 0.224 0.533 0.624
P3 0.281 0.126 0.590
P4 0.281 0.874 0.090
P5 0.500 0.247 0.250
P6 0.500 0.753 0.750
P7 0.719 0.126 0.910
P8 0.719 0.874 0.410
P9 0.776 0.467 0.376
P10 0.776 0.533 0.876
O1 0.070 0.445 0.390
O2 0.070 0.555 0.890
O3 0.127 0.194 0.517
O4 0.127 0.806 0.017
O5 0.139 0.019 0.137
O6 0.139 0.981 0.637
O7 0.289 0.317 0.644
O8 0.289 0.683 0.144
O9 0.301 0.385 0.207
O10 0.301 0.615 0.707
O11 0.329 0.134 0.303
O12 0.329 0.866 0.803
O13 0.397 0.388 0.063
O14 0.397 0.612 0.563
O15 0.429 0.088 0.928
O16 0.429 0.912 0.428
O17 0.571 0.088 0.572
O18 0.571 0.912 0.072
O19 0.603 0.388 0.437
O20 0.603 0.612 0.937
O21 0.671 0.134 0.197
O22 0.671 0.866 0.697
O23 0.699 0.385 0.293
O24 0.699 0.615 0.793
O25 0.711 0.317 0.856
O26 0.711 0.683 0.356
O27 0.861 0.019 0.363
O28 0.861 0.981 0.863
O29 0.873 0.194 0.983
O30 0.873 0.806 0.483
O31 0.930 0.445 0.110
O32 0.930 0.555 0.610

***

Entry 3:
The following is a computed X-ray powder pattern of Li2CuPO4. It was derived from a DFT-relaxed cell (GGA-PBE, the Materials Project), using copper Kα.

Peak list (6 most intense, 2θ = 10–90°, by intensity)
24.08°, I = 100, (1 1 -2)
33.52°, I = 85, (0 2 2)
34.74°, I = 79, (2 0 -2)
28.52°, I = 60, (0 3 1)
21.80°, I = 45, (0 2 1)
16.58°, I = 40, (0 1 1)

Structure:
Unit cell a=5.166 b=10.917 c=7.972 alpha=90.00 beta=129.71 gamma=90.00
Atoms (fractional coordinates):
Li1 0.055 0.073 0.256
Li2 0.055 0.427 0.756
Li3 0.198 0.164 0.001
Li4 0.198 0.336 0.501
Li5 0.802 0.664 0.499
Li6 0.802 0.836 0.999
Li7 0.945 0.573 0.244
Li8 0.945 0.927 0.744
Cu1 0.286 0.671 0.999
Cu2 0.286 0.829 0.499
Cu3 0.714 0.171 0.501
Cu4 0.714 0.329 0.001
P1 0.451 0.087 0.753
P2 0.451 0.413 0.253
P3 0.549 0.587 0.747
P4 0.549 0.913 0.247
O1 0.161 0.082 0.765
O2 0.161 0.418 0.265
O3 0.235 0.652 0.538
O4 0.235 0.848 0.038
O5 0.327 0.159 0.545
O6 0.327 0.341 0.045
O7 0.436 0.044 0.249
O8 0.436 0.456 0.749
O9 0.564 0.544 0.251
O10 0.564 0.956 0.751
O11 0.673 0.659 0.955
O12 0.673 0.841 0.455
O13 0.765 0.152 0.962
O14 0.765 0.348 0.462
O15 0.839 0.582 0.735
O16 0.839 0.918 0.235

***

Entry 4:
The following is a computed X-ray powder pattern of Li2CuPO4. It was derived from a DFT-relaxed cell (GGA-PBE, the Materials Project), using copper Kα.

Peak list (6 most intense, 2θ = 10–90°, by intensity)
24.20°, I = 100, (2 0 1)
28.54°, I = 48, (0 2 0)
33.21°, I = 41, (2 2 0)
16.62°, I = 37, (2 0 0)
33.60°, I = 34, (4 0 0)
35.35°, I = 33, (0 0 2)

Structure:
Unit cell a=10.669 b=6.254 c=5.078 alpha=90.00 beta=90.00 gamma=90.00
Atoms (fractional coordinates):
Li1 0.093 0.003 0.177
Li2 0.093 0.497 0.177
Li3 0.407 0.503 0.677
Li4 0.407 0.997 0.677
Li5 0.593 0.003 0.323
Li6 0.593 0.497 0.323
Li7 0.907 0.503 0.823
Li8 0.907 0.997 0.823
Cu1 0.161 0.250 0.668
Cu2 0.339 0.750 0.168
Cu3 0.661 0.250 0.832
Cu4 0.839 0.750 0.332
P1 0.157 0.750 0.670
P2 0.343 0.250 0.170
P3 0.657 0.750 0.830
P4 0.843 0.250 0.330
O1 0.091 0.547 0.785
O2 0.091 0.953 0.785
O3 0.148 0.750 0.365
O4 0.202 0.250 0.256
O5 0.298 0.750 0.756
O6 0.352 0.250 0.865
O7 0.409 0.047 0.285
O8 0.409 0.453 0.285
O9 0.591 0.547 0.715
O10 0.591 0.953 0.715
O11 0.648 0.750 0.135
O12 0.702 0.250 0.244
O13 0.798 0.750 0.744
O14 0.852 0.250 0.635
O15 0.909 0.047 0.215
O16 0.909 0.453 0.215

***

Entry 5:
The following is a computed X-ray powder pattern of Li3CuP2O7. It was derived from a DFT-relaxed cell (GGA-PBE, the Materials Project), using copper Kα.

Peak list (6 most intense, 2θ = 10–90°, by intensity)
25.79°, I = 100, (1 0 -2)
12.80°, I = 93, (0 1 0)
26.86°, I = 80, (1 -1 2)
19.68°, I = 27, (1 0 -1)
28.80°, I = 24, (0 1 2)
20.33°, I = 22, (1 -1 1)

Structure:
Unit cell a=5.155 b=7.872 c=9.017 alpha=109.92 beta=92.30 gamma=108.75
Atoms (fractional coordinates):
Li1 0.015 0.187 0.302
Li2 0.061 0.864 0.046
Li3 0.342 0.867 0.526
Li4 0.658 0.133 0.474
Li5 0.939 0.136 0.954
Li6 0.985 0.813 0.698
Cu1 0.000 0.500 0.000
Cu2 0.000 0.500 0.500
P1 0.253 0.283 0.680
P2 0.467 0.713 0.820
P3 0.533 0.287 0.180
P4 0.747 0.717 0.320
O1 0.064 0.274 0.536
O2 0.100 0.263 0.817
O3 0.225 0.152 0.130
O4 0.298 0.721 0.956
O5 0.324 0.746 0.684
O6 0.407 0.143 0.622
O7 0.492 0.500 0.744
O8 0.508 0.500 0.256
O9 0.593 0.857 0.378
O10 0.676 0.254 0.316
O11 0.702 0.279 0.044
O12 0.775 0.848 0.870
O13 0.900 0.737 0.183
O14 0.936 0.726 0.464

***

Entry 6:
The following is a computed X-ray powder pattern of Li2CuSbP2O8. It was derived from a DFT-relaxed cell (GGA-PBE, the Materials Project), using copper Kα.

Peak list (6 most intense, 2θ = 10–90°, by intensity)
27.20°, I = 100, (0 2 0)
24.15°, I = 85, (1 1 -1)
24.80°, I = 81, (1 1 1)
33.56°, I = 64, (1 1 -3)
34.99°, I = 56, (1 1 3)
16.65°, I = 49, (0 0 2)

Structure:
Unit cell a=4.799 b=6.557 c=10.663 alpha=90.00 beta=92.89 gamma=90.00
Atoms (fractional coordinates):
Li1 0.000 0.000 0.000
Li2 0.000 0.500 0.000
Li3 0.500 0.000 0.500
Li4 0.500 0.500 0.500
Cu1 0.033 0.250 0.709
Cu2 0.967 0.750 0.291
Sb1 0.476 0.250 0.214
Sb2 0.524 0.750 0.786
P1 0.089 0.750 0.586
P2 0.409 0.750 0.084
P3 0.591 0.250 0.916
P4 0.911 0.250 0.414
O1 0.218 0.562 0.666
O2 0.218 0.938 0.666
O3 0.222 0.750 0.457
O4 0.231 0.250 0.424
O5 0.259 0.750 0.945
O6 0.273 0.250 0.922
O7 0.286 0.559 0.147
O8 0.286 0.941 0.147
O9 0.714 0.059 0.853
O10 0.714 0.441 0.853
O11 0.727 0.750 0.078
O12 0.741 0.250 0.055
O13 0.769 0.750 0.576
O14 0.778 0.250 0.543
O15 0.782 0.062 0.334
O16 0.782 0.438 0.334

***

Entry 7:
The following is a computed X-ray powder pattern of Li4Cu3SbP4O16. It was derived from a DFT-relaxed cell (GGA-PBE, the Materials Project), using copper Kα.

Peak list (6 most intense, 2θ = 10–90°, by intensity)
28.21°, I = 100, (0 2 0)
25.08°, I = 98, (1 1 1)
24.69°, I = 72, (1 1 -1)
34.79°, I = 63, (1 1 -3)
17.28°, I = 60, (0 0 2)
35.67°, I = 58, (1 1 3)

Structure:
Unit cell a=4.789 b=6.327 c=10.265 alpha=90.00 beta=91.75 gamma=90.00
Atoms (fractional coordinates):
Li1 0.000 0.243 0.000
Li2 0.000 0.757 0.000
Li3 0.506 0.244 0.465
Li4 0.506 0.756 0.465
Cu1 0.051 0.000 0.264
Cu2 0.453 0.000 0.769
Cu3 0.563 0.500 0.196
Sb1 0.977 0.500 0.696
P1 0.095 0.500 0.377
P2 0.421 0.500 0.902
P3 0.579 0.000 0.079
P4 0.915 0.000 0.566
O1 0.222 0.300 0.315
O2 0.222 0.700 0.315
O3 0.226 0.500 0.524
O4 0.236 0.000 0.584
O5 0.256 0.000 0.083
O6 0.290 0.306 0.823
O7 0.290 0.694 0.823
O8 0.296 0.500 0.039
O9 0.689 0.000 0.936
O10 0.714 0.199 0.147
O11 0.714 0.801 0.147
O12 0.741 0.500 0.906
O13 0.772 0.500 0.378
O14 0.774 0.196 0.631
O15 0.774 0.804 0.631
O16 0.807 0.000 0.422

***

Entry 8:
The following is a computed X-ray powder pattern of Sr3Li3Cu3P4O16. It was derived from a DFT-relaxed cell (GGA-PBE, the Materials Project), using copper Kα.

Peak list (6 most intense, 2θ = 10–90°, by intensity)
29.09°, I = 100, (1 1 3)
34.55°, I = 63, (3 1 -3)
30.22°, I = 59, (2 0 -6)
30.45°, I = 49, (1 1 -5)
26.81°, I = 33, (2 1 -1)
19.29°, I = 32, (2 0 -2)

Structure:
Unit cell a=9.245 b=4.874 c=18.390 alpha=90.00 beta=114.57 gamma=90.00
Atoms (fractional coordinates):
Sr1 0.000 0.218 0.000
Sr2 0.000 0.782 0.500
Sr3 0.383 0.237 0.452
Sr4 0.383 0.763 0.952
Sr5 0.686 0.233 0.728
Sr6 0.686 0.767 0.228
Li1 0.398 0.255 0.125
Li2 0.398 0.745 0.625
Li3 0.647 0.324 0.935
Li4 0.647 0.676 0.435
Li5 0.973 0.239 0.321
Li6 0.973 0.761 0.821
Cu1 0.181 0.253 0.224
Cu2 0.181 0.747 0.724
Cu3 0.400 0.393 0.798
Cu4 0.400 0.607 0.298
Cu5 0.901 0.197 0.616
Cu6 0.901 0.803 0.116
P1 0.120 0.195 0.822
P2 0.120 0.805 0.322
P3 0.244 0.314 0.619
P4 0.244 0.686 0.119
P5 0.642 0.290 0.069
P6 0.642 0.710 0.569
P7 0.726 0.224 0.377
P8 0.726 0.776 0.877
O1 0.104 0.441 0.637
O2 0.104 0.559 0.137
O3 0.120 0.056 0.898
O4 0.120 0.944 0.398
O5 0.141 0.492 0.333
O6 0.141 0.508 0.833
O7 0.234 0.001 0.614
O8 0.234 0.999 0.114
O9 0.240 0.444 0.541
O10 0.240 0.556 0.041
O11 0.263 0.069 0.805
O12 0.263 0.931 0.305
O13 0.406 0.408 0.687
O14 0.406 0.592 0.187
O15 0.502 0.258 0.984
O16 0.502 0.742 0.484
O17 0.563 0.343 0.372
O18 0.563 0.657 0.872
O19 0.596 0.144 0.131
O20 0.596 0.856 0.631
O21 0.663 0.396 0.588
O22 0.663 0.604 0.088
O23 0.721 0.096 0.876
O24 0.721 0.904 0.376
O25 0.757 0.314 0.303
O26 0.757 0.686 0.803
O27 0.794 0.170 0.064
O28 0.794 0.830 0.564
O29 0.861 0.323 0.456
O30 0.861 0.677 0.956
O31 0.963 0.111 0.751
O32 0.963 0.889 0.251